(1)
Starting from a crystal structure in the Materials Project, relaxed with GGA-PBE, the PXRD pattern of Ho2Pb2O7 was calculated for Cu Kα (weighted mean of Kα1 and Kα2).
Kinematic intensities with the Lorentz-polarization factor, no thermal factor.

Crystal structure
Cell: 10.752 10.752 10.752 Å, 90.00 90.00 90.00°
Space group Fd-3m (No. 227, origin choice 2)
Inequivalent atoms, fractional coordinates:
Ho 0.000 0.000 0.000 [16 per cell]
Pb 0.000 0.000 0.500 [16 per cell]
O 0.101 0.375 0.875 [48 per cell]
O 0.125 0.125 0.125 [8 per cell]

The 10 most intense peaks (10° ≤ 2θ ≤ 90°), sorted by position:
hkl 3 1 1, 27.51°, I 2
hkl 2 2 2, 28.76°, I 100
hkl 4 0 0, 33.33°, I 37
hkl 4 4 0, 47.86°, I 48
hkl 6 2 2, 56.80°, I 46
hkl 4 4 4, 59.57°, I 11
hkl 8 0 0, 70.00°, I 7
hkl 6 6 2, 77.37°, I 19
hkl 8 4 0, 79.78°, I 15
hkl 8 4 4, 89.26°, I 16

---

(2)
Starting from a crystal structure in the Materials Project, relaxed with GGA-PBE, the PXRD pattern of RbHoS2O9 was calculated for Cu Kα (weighted mean of Kα1 and Kα2).
Kinematic intensities with the Lorentz-polarization factor, no thermal factor.

Crystal structure
Cell: 10.193 8.556 10.382 Å, 90.00 117.73 90.00°
Space group P2_1/c (No. 14)
Inequivalent atoms, fractional coordinates:
Rb 0.218 0.165 0.182 [4 per cell]
Ho 0.248 0.629 0.030 [4 per cell]
S 0.060 0.636 0.184 [4 per cell]
S 0.493 0.696 0.891 [4 per cell]
O 0.069 0.745 0.581 [4 per cell]
O 0.088 0.711 0.323 [4 per cell]
O 0.091 0.066 0.381 [4 per cell]
O 0.172 0.515 0.201 [4 per cell]
O 0.346 0.620 0.566 [4 per cell]
O 0.365 0.606 0.885 [4 per cell]
O 0.394 0.091 0.614 [4 per cell]
O 0.437 0.703 0.257 [4 per cell]
O 0.440 0.205 0.977 [4 per cell]

The 10 most intense peaks (10° ≤ 2θ ≤ 90°), sorted by position:
hkl 0 1 1, 14.14°, I 100
hkl 1 1 0, 14.27°, I 40
hkl 2 0 0, 19.68°, I 27
hkl 0 2 1, 22.93°, I 27
hkl 1 0 2, 25.52°, I 27
hkl 1 2 1, 26.75°, I 95
hkl 1 1 2, 27.60°, I 47
hkl 2 1 -3, 28.51°, I 28
hkl 3 1 -2, 28.83°, I 75
hkl 3 2 1, 41.44°, I 25

---

(3)
Starting from a crystal structure in the Materials Project, relaxed with GGA-PBE, the PXRD pattern of Ho5Re2O12 was calculated for Cu Kα (weighted mean of Kα1 and Kα2).
Kinematic intensities with the Lorentz-polarization factor, no thermal factor.

Crystal structure
Cell: 12.416 5.660 7.525 Å, 90.00 107.91 90.00°
Space group C2/m (No. 12)
Inequivalent atoms, fractional coordinates:
Ho 0.000 0.000 0.000 [2 per cell]
Ho 0.186 0.500 0.324 [4 per cell]
Ho 0.197 0.500 0.859 [4 per cell]
Re 0.000 0.214 0.500 [4 per cell]
O 0.001 0.000 0.293 [4 per cell]
O 0.001 0.500 0.678 [4 per cell]
O 0.154 0.252 0.074 [8 per cell]
O 0.166 0.253 0.585 [8 per cell]

The 10 most intense peaks (10° ≤ 2θ ≤ 90°), sorted by position:
hkl 3 1 0, 27.59°, I 97
hkl 1 1 -2, 28.49°, I 100
hkl 4 0 -2, 32.85°, I 37
hkl 2 0 2, 33.00°, I 38
hkl 0 2 1, 34.06°, I 23
hkl 2 2 0, 35.16°, I 21
hkl 0 2 2, 40.62°, I 27
hkl 2 0 -4, 48.38°, I 25
hkl 6 2 -2, 56.19°, I 25
hkl 1 1 4, 56.73°, I 24

---

(4)
Starting from a crystal structure in the Materials Project, relaxed with GGA-PBE, the PXRD pattern of Sr3HoRhO6 was calculated for Cu Kα (weighted mean of Kα1 and Kα2).
Kinematic intensities with the Lorentz-polarization factor, no thermal factor.

Crystal structure
Cell: 9.8731 9.8731 11.4047 Å, 90.00 90.00 120.00°
Space group R-3c (No. 167, hexagonal axes)
Inequivalent atoms, fractional coordinates:
Sr 0.0000 0.3688 0.2500 [18 per cell]
Ho 0.0000 0.0000 0.2500 [6 per cell]
Rh 0.0000 0.0000 0.0000 [6 per cell]
O 0.0222 0.1786 0.3864 [36 per cell]

The 10 most intense peaks (10° ≤ 2θ ≤ 90°), sorted by position:
hkl 1 1 0, 17.97°, I 47
hkl 1 1 3, 29.66°, I 41
hkl 3 0 0, 31.39°, I 100
hkl 0 2 4, 37.93°, I 33
hkl 2 1 4, 42.27°, I 39
hkl 2 2 3, 43.73°, I 24
hkl 3 3 0, 55.88°, I 17
hkl 3 2 4, 56.98°, I 28
hkl 3 5 4, 86.73°, I 14
hkl 5 0 8, 89.51°, I 12

---

(5)
Starting from a crystal structure in the Materials Project, relaxed with GGA-PBE, the PXRD pattern of Ho2Ru2O7 was calculated for Cu Kα (weighted mean of Kα1 and Kα2).
Kinematic intensities with the Lorentz-polarization factor, no thermal factor.

Crystal structure
Cell: 10.213 10.213 10.213 Å, 90.00 90.00 90.00°
Space group Fd-3m (No. 227, origin choice 2)
Inequivalent atoms, fractional coordinates:
Ho 0.000 0.000 0.000 [16 per cell]
Ru 0.000 0.000 0.500 [16 per cell]
O 0.088 0.375 0.875 [48 per cell]
O 0.125 0.125 0.125 [8 per cell]

The 10 most intense peaks (10° ≤ 2θ ≤ 90°), sorted by position:
hkl 1 1 1, 15.02°, I 5
hkl 2 2 2, 30.31°, I 100
hkl 4 0 0, 35.15°, I 33
hkl 3 3 1, 38.42°, I 5
hkl 4 4 0, 50.55°, I 47
hkl 6 2 2, 60.09°, I 43
hkl 4 4 4, 63.06°, I 10
hkl 8 0 0, 74.29°, I 7
hkl 6 6 2, 82.30°, I 17
hkl 8 4 0, 84.93°, I 14

---

(6)
Starting from a crystal structure in the Materials Project, relaxed with GGA-PBE, the PXRD pattern of Sr2HoRuO6 was calculated for Cu Kα (weighted mean of Kα1 and Kα2).
Kinematic intensities with the Lorentz-polarization factor, no thermal factor.

Crystal structure
Cell: 5.805 5.863 10.043 Å, 90.00 124.94 90.00°
Space group P2_1/c (No. 14)
Inequivalent atoms, fractional coordinates:
Sr 0.241 0.036 0.249 [4 per cell]
Ho 0.500 0.000 0.000 [2 per cell]
Ru 0.000 0.000 0.500 [2 per cell]
O 0.158 0.228 0.960 [4 per cell]
O 0.232 0.701 0.962 [4 per cell]
O 0.309 0.019 0.735 [4 per cell]

The 10 most intense peaks (10° ≤ 2θ ≤ 90°), sorted by position:
hkl 1 1 -1, 21.56°, I 22
hkl 0 2 0, 30.49°, I 33
hkl 1 1 1, 30.61°, I 68
hkl 1 1 -3, 30.77°, I 100
hkl 2 2 -2, 43.90°, I 37
hkl 0 0 4, 44.00°, I 19
hkl 1 3 -3, 54.31°, I 24
hkl 2 0 2, 54.52°, I 37
hkl 3 1 -5, 54.84°, I 22
hkl 3 1 -9, 89.38°, I 11

---

(7)
Starting from a crystal structure in the Materials Project, relaxed with GGA-PBE, the PXRD pattern of Ho2S3O20 was calculated for Cu Kα (weighted mean of Kα1 and Kα2).
Kinematic intensities with the Lorentz-polarization factor, no thermal factor.

Crystal structure
Cell: 13.452 6.595 18.249 Å, 90.00 99.30 90.00°
Space group C2/c (No. 15)
Inequivalent atoms, fractional coordinates:
Ho 0.169 0.018 0.394 [8 per cell]
S 0.000 0.294 0.250 [4 per cell]
S 0.216 0.027 0.090 [8 per cell]
O 0.005 0.108 0.628 [8 per cell]
O 0.033 0.167 0.435 [8 per cell]
O 0.039 0.430 0.195 [8 per cell]
O 0.082 0.162 0.289 [8 per cell]
O 0.149 0.036 0.148 [8 per cell]
O 0.156 0.466 0.571 [8 per cell]
O 0.162 0.071 0.014 [8 per cell]
O 0.194 0.465 0.184 [8 per cell]
O 0.204 0.321 0.887 [8 per cell]
O 0.235 0.325 0.411 [8 per cell]

The 10 most intense peaks (10° ≤ 2θ ≤ 90°), sorted by position:
hkl 2 0 0, 13.34°, I 52
hkl 1 1 0, 15.00°, I 66
hkl 2 0 -2, 15.25°, I 100
hkl 1 1 2, 18.55°, I 89
hkl 0 0 4, 19.72°, I 66
hkl 3 1 0, 24.22°, I 66
hkl 2 0 4, 25.66°, I 42
hkl 0 2 0, 27.05°, I 44
hkl 2 2 0, 30.23°, I 34
hkl 5 1 -2, 36.34°, I 31

---

(8)
Starting from a crystal structure in the Materials Project, relaxed with GGA-PBE, the PXRD pattern of Ho2SO2 was calculated for Cu Kα (weighted mean of Kα1 and Kα2).
Kinematic intensities with the Lorentz-polarization factor, no thermal factor.

Crystal structure
Cell: 3.7873 3.7873 6.5890 Å, 90.00 90.00 120.00°
Space group P-3m1 (No. 164)
Inequivalent atoms, fractional coordinates:
Ho 0.3333 0.6667 0.2827 [2 per cell]
S 0.0000 0.0000 0.0000 [1 per cell]
O 0.3333 0.6667 0.6294 [2 per cell]

The 10 most intense peaks (10° ≤ 2θ ≤ 90°), sorted by position:
hkl 0 0 2, 27.07°, I 22
hkl 1 0 0, 27.19°, I 20
hkl 0 1 1, 30.44°, I 100
hkl 1 0 2, 38.74°, I 30
hkl 1 1 0, 48.05°, I 30
hkl 0 1 3, 49.98°, I 24
hkl 1 1 2, 56.02°, I 21
hkl 2 0 1, 57.95°, I 17
hkl 1 1 3, 65.03°, I 9
hkl 1 2 1, 78.51°, I 14

---

(9)
Starting from a crystal structure in the Materials Project, relaxed with GGA-PBE, the PXRD pattern of Ho2SO2 was calculated for Cu Kα (weighted mean of Kα1 and Kα2).
Kinematic intensities with the Lorentz-polarization factor, no thermal factor.

Crystal structure
Cell: 3.7773 3.7773 13.3180 Å, 90.00 90.00 120.00°
Space group P6_3/mmc (No. 194)
Inequivalent atoms, fractional coordinates:
Ho 0.3333 0.6667 0.1076 [4 per cell]
S 0.0000 0.0000 0.2500 [2 per cell]
O 0.3333 0.6667 0.5647 [4 per cell]

The 10 most intense peaks (10° ≤ 2θ ≤ 90°), sorted by position:
hkl 0 0 4, 26.78°, I 42
hkl 1 0 0, 27.26°, I 37
hkl 1 0 1, 28.09°, I 88
hkl 1 0 3, 34.04°, I 100
hkl 1 0 4, 38.58°, I 46
hkl 1 1 0, 48.18°, I 56
hkl 1 0 7, 55.94°, I 74
hkl 2 0 3, 60.31°, I 21
hkl 1 1 6, 64.82°, I 19
hkl 2 1 3, 80.67°, I 18

---

(10)
Starting from a crystal structure in the Materials Project, relaxed with GGA-PBE, the PXRD pattern of HoSO was calculated for Cu Kα (weighted mean of Kα1 and Kα2).
Kinematic intensities with the Lorentz-polarization factor, no thermal factor.

Crystal structure
Cell: 12.466 5.656 5.649 Å, 90.00 90.00 90.00°
Space group Cmce (No. 64)
Inequivalent atoms, fractional coordinates:
Ho 0.164 0.000 0.000 [8 per cell]
S 0.000 0.131 0.368 [8 per cell]
O 0.250 0.243 0.750 [8 per cell]

The 10 most intense peaks (10° ≤ 2θ ≤ 90°), sorted by position:
hkl 2 0 0, 14.21°, I 17
hkl 1 1 1, 23.37°, I 29
hkl 3 1 1, 31.05°, I 100
hkl 0 2 0, 31.66°, I 31
hkl 4 0 2, 43.21°, I 15
hkl 6 0 0, 43.56°, I 10
hkl 0 2 2, 45.38°, I 18
hkl 1 1 3, 51.66°, I 15
hkl 6 2 0, 54.84°, I 19
hkl 3 3 1, 56.00°, I 26